Entry 1:
Structure and simulated X-ray powder pattern of CaMnRh4 (a GGA-PBE-relaxed structure; Cu Kα (λ = 1.5418 Å)).
Intensities are scaled so that the largest is 100.

```
6
Lattice="0.000 3.703 3.703 3.703 0.000 3.703 3.703 3.703 0.000" Properties=species:S:1:pos:R:3 pbc="T T T"
Ca 0.000 0.000 0.000
Mn 5.554 5.554 5.554
Rh 2.780 2.780 2.780
Rh 4.625 4.625 2.780
Rh 4.625 2.780 4.625
Rh 2.780 4.625 4.625
```

Top 6 peaks for 2θ from 10° to 90°, in order of rising 2θ:
| 2θ/deg | d_spacing | intensity |
| --- | --- | --- |
| 20.78 | 4.275 | 48 |
| 40.40 | 2.233 | 100 |
| 42.28 | 2.138 | 67 |
| 65.50 | 1.425 | 30 |
| 72.16 | 1.309 | 29 |
| 87.35 | 1.116 | 24 |


Entry 2:
Structure and simulated X-ray powder pattern of CaMn2Rh2 (a GGA-PBE-relaxed structure; Cu Kα (λ = 1.5418 Å)).
Intensities are scaled so that the largest is 100.

```
10
Lattice="4.137 0.000 0.000 0.000 4.137 0.000 0.000 0.000 9.441" Properties=species:S:1:pos:R:3 pbc="T T T"
Ca 0.000 0.000 0.000
Ca 2.068 2.068 4.720
Mn 0.000 0.000 3.746
Mn 0.000 0.000 5.695
Mn 2.068 2.068 0.975
Mn 2.068 2.068 8.466
Rh 0.000 2.068 2.360
Rh 0.000 2.068 7.081
Rh 2.068 0.000 2.360
Rh 2.068 0.000 7.081
```

Top 6 peaks for 2θ from 10° to 90°, in order of rising 2θ:
| 2θ/deg | d_spacing | intensity |
| --- | --- | --- |
| 18.80 | 4.720 | 31 |
| 36.13 | 2.486 | 100 |
| 43.77 | 2.068 | 47 |
| 49.63 | 1.837 | 34 |
| 63.62 | 1.462 | 15 |
| 75.40 | 1.261 | 21 |


Which formula does entry 2 have? CaMn2Rh2